Diffraction record for Ba2P3PdPt12. The powder diffractogram is simulated, not measured: it uses a cell relaxed with GGA-PBE and Cu Kα.
No peak broadening, texture or thermal motion is included.

Crystal structure
```
data_Ba2P3PdPt12
_chemical_formula_sum 'Ba6 P9 Pd3 Pt36'
_cell_length_a 8.3468
_cell_length_b 8.3468
_cell_length_c 18.8684
_cell_angle_alpha 90.00
_cell_angle_beta 90.00
_cell_angle_gamma 120.00
_symmetry_space_group_name_H-M 'R -3 m'
_symmetry_Int_Tables_number 166
_symmetry_space_group_name_Hall '-R 3 2"'
loop_
_atom_site_label
_atom_site_type_symbol
_atom_site_fract_x
_atom_site_fract_y
_atom_site_fract_z
Ba1 Ba 0.0000 0.0000 0.1125
P1 P 0.0000 0.5000 0.0000
Pd1 Pd 0.0000 0.0000 0.5000
Pt1 Pt 0.0067 0.5034 0.1193
Pt2 Pt 0.0492 0.5246 0.3601
```

Largest 10 diffraction maxima, in order of rising 2θ, 5° ≤ 2θ ≤ 70°:
d (Å)	Position (°2θ)	I/Imax	index
3.950	22.51	11	1 0 4
2.869	31.18	100	0 2 4
2.624	34.17	9	1 2 2
2.610	34.36	13	2 0 5
2.364	38.06	12	2 1 4
2.087	43.36	53	2 2 0
1.975	45.95	38	2 0 8
1.688	54.37	16	4 0 4
1.479	62.83	10	2 2 9
1.434	65.02	12	0 4 8